[1]
CaAcHo2Hg4: theoretical X-ray powder pattern (copper Kα), based on the GGA-PBE geometry in Alexandria.
Kinematic intensities with the Lorentz-polarization factor, no thermal factor.

Principal peaks in the range 15° ≤ 2θ ≤ 90°, sorted by position:
| (hkl) | Position (°2θ) | d_spacing | I/Imax |
| --- | --- | --- | --- |
| 0 1 5 | 25.27 | 3.524 | 11 |
| 0 1 8 | 32.59 | 2.747 | 100 |
| 1 1 0 | 33.73 | 2.657 | 100 |
| 2 0 8 | 47.61 | 1.910 | 35 |
| 1 0 16 | 57.42 | 1.605 | 16 |
| 1 2 8 | 59.61 | 1.551 | 36 |
| 3 0 0 | 60.33 | 1.534 | 19 |
| 0 2 16 | 68.28 | 1.374 | 9 |
| 2 2 0 | 70.93 | 1.329 | 12 |
| 2 1 16 | 78.36 | 1.220 | 13 |
| 3 1 8 | 80.26 | 1.196 | 16 |
| 0 4 8 | 89.95 | 1.091 | 6 |

Structural model:
Cell: 5.3147 5.3147 27.3948 Å, 90.00 90.00 120.00°
Space group R-3m (No. 166, hexagonal axes)
One atom of each set of equivalent atoms:
Ca (0.0000, 0.0000, 0.0000) (multiplicity 3)
Ac (0.0000, 0.0000, 0.5000) (multiplicity 3)
Ho (0.0000, 0.0000, 0.2560) (multiplicity 6)
Hg (0.0000, 0.0000, 0.1159) (multiplicity 6)
Hg (0.0000, 0.0000, 0.3730) (multiplicity 6)

***

[2]
CaAc2HgIr: theoretical X-ray powder pattern (copper Kα), based on the GGA-PBE geometry in Alexandria.
Kinematic intensities with the Lorentz-polarization factor, no thermal factor.

Principal peaks in the range 15° ≤ 2θ ≤ 90°, sorted by position:
| (hkl) | Position (°2θ) | d_spacing | I/Imax |
| --- | --- | --- | --- |
| 0 0 1 | 15.80 | 5.611 | 61 |
| 1 0 1 | 22.05 | 4.031 | 66 |
| 1 1 1 | 26.95 | 3.309 | 82 |
| 2 0 0 | 30.87 | 2.897 | 100 |
| 0 0 2 | 31.90 | 2.805 | 36 |
| 2 0 1 | 34.85 | 2.574 | 36 |
| 2 1 1 | 38.26 | 2.352 | 33 |
| 2 2 0 | 44.21 | 2.048 | 38 |
| 2 0 2 | 44.98 | 2.015 | 56 |
| 3 1 1 | 52.54 | 1.742 | 27 |
| 2 2 2 | 55.55 | 1.654 | 30 |
| 4 2 2 | 81.91 | 1.176 | 20 |

Structural model:
Cell: 5.7939 5.7939 5.6105 Å, 90.00 90.00 90.00°
Space group P4mm (No. 99)
One atom of each set of equivalent atoms:
Ca (0.0000, 0.0000, 0.0000) (multiplicity 1)
Ac (0.0000, 0.5000, 0.4921) (multiplicity 2)
Hg (0.5000, 0.5000, 0.0903) (multiplicity 1)
Ir (0.0000, 0.0000, 0.5018) (multiplicity 1)

***

[3]
Li2CaAcHg4: theoretical X-ray powder pattern (copper Kα), based on the GGA-PBE geometry in Alexandria.
Kinematic intensities with the Lorentz-polarization factor, no thermal factor.

Principal peaks in the range 15° ≤ 2θ ≤ 90°, sorted by position:
| (hkl) | Position (°2θ) | d_spacing | I/Imax |
| --- | --- | --- | --- |
| 0 1 2 | 21.65 | 4.105 | 45 |
| 1 0 4 | 24.12 | 3.690 | 56 |
| 1 0 7 | 29.92 | 2.986 | 18 |
| 0 1 8 | 32.25 | 2.776 | 96 |
| 1 1 0 | 36.38 | 2.469 | 100 |
| 1 0 10 | 37.29 | 2.411 | 50 |
| 2 0 8 | 49.39 | 1.845 | 30 |
| 0 2 10 | 53.08 | 1.725 | 18 |
| 1 2 8 | 62.87 | 1.478 | 29 |
| 3 0 0 | 65.46 | 1.426 | 18 |
| 2 1 10 | 66.06 | 1.414 | 19 |
| 1 1 18 | 69.32 | 1.356 | 22 |

Structural model:
Cell: 4.9390 4.9390 29.1922 Å, 90.00 90.00 120.00°
Space group R-3m (No. 166, hexagonal axes)
One atom of each set of equivalent atoms:
Li (0.0000, 0.0000, 0.2397) (multiplicity 6)
Ca (0.0000, 0.0000, 0.5000) (multiplicity 3)
Ac (0.0000, 0.0000, 0.0000) (multiplicity 3)
Hg (0.0000, 0.0000, 0.1179) (multiplicity 6)
Hg (0.0000, 0.0000, 0.3928) (multiplicity 6)

***

[4]
Ca2AcHgN: theoretical X-ray powder pattern (copper Kα), based on the GGA-PBE geometry in Alexandria.
Kinematic intensities with the Lorentz-polarization factor, no thermal factor.

Principal peaks in the range 15° ≤ 2θ ≤ 90°, sorted by position:
| (hkl) | Position (°2θ) | d_spacing | I/Imax |
| --- | --- | --- | --- |
| 0 0 2 | 15.69 | 5.647 | 49 |
| 2 0 0 | 26.04 | 3.422 | 41 |
| 2 0 2 | 30.55 | 2.927 | 100 |
| 0 0 4 | 31.69 | 2.823 | 25 |
| 2 2 0 | 37.16 | 2.420 | 33 |
| 2 2 2 | 40.56 | 2.224 | 23 |
| 2 0 4 | 41.46 | 2.178 | 22 |
| 2 2 4 | 49.62 | 1.837 | 26 |
| 2 0 6 | 55.74 | 1.649 | 17 |
| 4 2 2 | 62.92 | 1.477 | 23 |
| 4 0 4 | 63.59 | 1.463 | 12 |
| 4 2 4 | 69.92 | 1.345 | 11 |

Structural model:
Cell: 6.8439 6.8439 11.2934 Å, 90.00 90.00 90.00°
Space group I4cm (No. 108)
One atom of each set of equivalent atoms:
Ca (0.2155, 0.2845, 0.0000) (multiplicity 8)
Ac (0.0000, 0.0000, 0.2385) (multiplicity 4)
Hg (0.0000, 0.5000, 0.2610) (multiplicity 4)
N (0.0000, 0.0000, 0.0244) (multiplicity 4)